Structure and computed powder X-ray diffraction pattern of MoPO7 (a structure optimized by DFT (PBE+U); Cu Ka).
No peak broadening, texture or thermal motion is included.

Largest 10 diffraction maxima, sorted by position, 2θ = 10–90°:
2theta, d [Å], I_rel
12.78, 6.928, 64.3
15.55, 5.698, 100.0
18.72, 4.740, 26.7
19.20, 4.623, 35.1
20.73, 4.284, 25.2
21.23, 4.185, 22.5
25.27, 3.524, 43.5
27.45, 3.249, 49.1
30.44, 2.936, 25.0
41.67, 2.167, 21.7

Structure:
```
data_MoPO7
_chemical_formula_sum 'Mo2 P2 O14'
_symmetry_space_group_name_H-M 'P 1 21/m 1'
_symmetry_Int_Tables_number 11
_cell_length_a 6.894
_cell_length_b 6.498
_cell_length_c 7.261
_cell_angle_alpha 90.00
_cell_angle_beta 107.42
_cell_angle_gamma 90.00
loop_
_symmetry_equiv_pos_as_xyz
'x,y,z'
'-x,-y,-z'
'-x,y+1/2,-z'
'x,-y+1/2,z'
loop_
_atom_site_label
_atom_site_type_symbol
_atom_site_fract_x
_atom_site_fract_y
_atom_site_fract_z
Mo1 Mo 0.180 0.250 0.293
P1 P 0.348 0.750 0.397
O1 O 0.056 0.750 0.674
O2 O 0.139 0.250 0.049
O3 O 0.219 0.559 0.335
O4 O 0.295 0.250 0.654
O5 O 0.492 0.750 0.600
O6 O 0.494 0.250 0.750
```